Structure and simulated PXRD pattern of Ca5V3O13 (a PBE+U-relaxed structure; Cu Kα).
No peak broadening, texture or thermal motion is included.

Top 10 peaks for 2θ = 10–80°, low angle first:
hkl	2theta	I_rel
1 0 0	10.10	208
1 1 1	21.81	175
0 0 2	25.90	316
2 1 1	29.94	1000
3 0 0	30.61	519
1 1 2	31.45	306
2 0 2	33.11	298
2 2 2	44.46	237
2 1 3	48.27	312
3 2 2	52.74	240

Lattice parameters (Å, degrees): 10.1176 10.1176 6.8805 90.00 90.00 120.00
Space group P6_3/m (No. 176)
Symmetry-distinct sites (fractional):
Ca (0.0240, 0.7681, 0.2500)
Ca (0.3333, 0.6667, 0.5029)
V (0.0289, 0.4062, 0.2500)
O (0.0000, 0.0000, 0.2500)
O (0.0838, 0.3385, 0.0516)
O (0.1398, 0.6069, 0.2500)
O (0.1632, 0.6537, 0.7500)